Entry 1:
Diffraction record for Na3BiAu4. The powder X-ray diffraction pattern is simulated, not measured: it uses a cell relaxed with PBE and CuKα.
Lines closer than 0.1° are merged.

Top 10 peaks for 5 to 70 degrees two-theta, in order of rising 2θ:
2θ = 17.5°, d 5.061, rel. 46.5
2θ = 20.2°, d 4.406, rel. 100.0
2θ = 31.2°, d 2.865, rel. 22.5
2θ = 31.6°, d 2.829, rel. 27.7
2θ = 34.0°, d 2.636, rel. 32.9
2θ = 39.8°, d 2.262, rel. 30.1
2θ = 40.0°, d 2.254, rel. 44.6
2θ = 41.0°, d 2.203, rel. 32.6
2θ = 42.7°, d 2.118, rel. 28.6
2θ = 54.3°, d 1.690, rel. 20.8

Atomic structure:
a = 6.8242 Å, b = 10.5450 Å, c = 5.7692 Å
α = 90.00°, β = 90.00°, γ = 90.00°
Element x y z (fractional)
Na 0.0000 0.0000 0.0000
Na 0.0000 0.3060 0.8258
Na 0.0000 0.6940 0.8258
Na 0.5000 0.1940 0.3258
Na 0.5000 0.5000 0.5000
Na 0.5000 0.8060 0.3258
Bi 0.0000 0.5000 0.3172
Bi 0.5000 0.0000 0.8172
Au 0.0000 0.2211 0.3388
Au 0.0000 0.7789 0.3388
Au 0.1967 0.0000 0.5038
Au 0.3033 0.5000 0.0038
Au 0.5000 0.2789 0.8388
Au 0.5000 0.7211 0.8388
Au 0.6967 0.5000 0.0038
Au 0.8033 0.0000 0.5038


Entry 2:
Diffraction record for Rb2NaBi2Au. The powder X-ray diffraction pattern is simulated, not measured: it uses a cell relaxed with PBE and CuKα.
Lines closer than 0.1° are merged.

Top 10 peaks for 5 to 70 degrees two-theta, in order of rising 2θ:
2θ = 10.8°, d 8.212, rel. 93.0
2θ = 12.9°, d 6.846, rel. 88.7
2θ = 19.8°, d 4.481, rel. 44.9
2θ = 27.4°, d 3.257, rel. 100.0
2θ = 32.1°, d 2.787, rel. 54.2
2θ = 32.3°, d 2.775, rel. 47.2
2θ = 33.5°, d 2.673, rel. 82.4
2θ = 43.6°, d 2.077, rel. 24.0
2θ = 43.7°, d 2.071, rel. 28.7
2θ = 47.4°, d 1.917, rel. 32.9

Atomic structure:
a = 9.7994 Å, b = 9.7994 Å, c = 9.7994 Å
α = 134.80°, β = 66.14°, γ = 134.42°
Element x y z (fractional)
Rb 0.1663 0.2450 0.4113
Rb 0.3337 0.7450 0.0786
Rb 0.6663 0.2550 0.9214
Rb 0.8337 0.7550 0.5887
Na 0.2500 0.2500 0.0000
Na 0.7500 0.7500 0.0000
Bi 0.0906 0.7087 0.7993
Bi 0.4094 0.2087 0.6181
Bi 0.5906 0.7913 0.3819
Bi 0.9094 0.2913 0.2007
Au 0.2500 0.7500 0.5000
Au 0.7500 0.2500 0.5000


Entry 3:
Diffraction record for Na2Zn3BiAu12. The powder X-ray diffraction pattern is simulated, not measured: it uses a cell relaxed with PBE and CuKα.
Lines closer than 0.1° are merged.

Top 10 peaks for 5 to 70 degrees two-theta, in order of rising 2θ:
2θ = 19.3°, d 4.609, rel. 100.0
2θ = 26.8°, d 3.328, rel. 19.8
2θ = 29.6°, d 3.014, rel. 23.6
2θ = 31.7°, d 2.820, rel. 86.2
2θ = 38.6°, d 2.332, rel. 35.2
2θ = 38.7°, d 2.325, rel. 33.3
2θ = 39.1°, d 2.305, rel. 76.8
2θ = 43.9°, d 2.061, rel. 39.1
2θ = 45.1°, d 2.009, rel. 58.5
2θ = 51.3°, d 1.782, rel. 34.0

Atomic structure:
a = 10.1106 Å, b = 10.1106 Å, c = 10.1106 Å
α = 41.29°, β = 41.29°, γ = 41.29°
Element x y z (fractional)
Na 0.1386 0.1386 0.1386
Na 0.8614 0.8614 0.8614
Zn 0.0000 0.5000 0.5000
Zn 0.5000 0.0000 0.5000
Zn 0.5000 0.5000 0.0000
Bi 0.5000 0.5000 0.5000
Au 0.0596 0.6271 0.6271
Au 0.0888 0.0888 0.6909
Au 0.0888 0.6909 0.0888
Au 0.3091 0.9112 0.9112
Au 0.3729 0.3729 0.9404
Au 0.3729 0.9404 0.3729
Au 0.6271 0.0596 0.6271
Au 0.6271 0.6271 0.0596
Au 0.6909 0.0888 0.0888
Au 0.9112 0.3091 0.9112
Au 0.9112 0.9112 0.3091
Au 0.9404 0.3729 0.3729


Entry 4:
Diffraction record for NdBi2Au9. The powder X-ray diffraction pattern is simulated, not measured: it uses a cell relaxed with PBE and CuKα.
Lines closer than 0.1° are merged.

Top 10 peaks for 5 to 70 degrees two-theta, in order of rising 2θ:
2θ = 18.4°, d 4.812, rel. 15.2
2θ = 31.7°, d 2.819, rel. 20.9
2θ = 37.0°, d 2.432, rel. 26.1
2θ = 37.1°, d 2.423, rel. 100.0
2θ = 38.0°, d 2.370, rel. 28.9
2θ = 39.4°, d 2.285, rel. 16.8
2θ = 40.2°, d 2.243, rel. 34.0
2θ = 60.1°, d 1.539, rel. 25.1
2θ = 66.3°, d 1.410, rel. 25.7
2θ = 67.9°, d 1.380, rel. 18.1

Atomic structure:
a = 10.0244 Å, b = 10.0244 Å, c = 10.0244 Å
α = 32.67°, β = 32.67°, γ = 32.67°
Element x y z (fractional)
Nd 0.0000 0.0000 0.0000
Bi 0.1465 0.1465 0.1465
Bi 0.8535 0.8535 0.8535
Au 0.0807 0.5838 0.5838
Au 0.3331 0.3331 0.3331
Au 0.4162 0.4162 0.9193
Au 0.4162 0.9193 0.4162
Au 0.5000 0.5000 0.5000
Au 0.5838 0.0807 0.5838
Au 0.5838 0.5838 0.0807
Au 0.6669 0.6669 0.6669
Au 0.9193 0.4162 0.4162